# 1
Starting from a DFT-relaxed cell (PBE, Alexandria), the PXRD pattern of Li2TbPd3 was simulated for CuKα.

Crystal structure
Cell: 4.488 4.488 5.706 Å, 90.00 90.00 120.00°
Positions (direct):
Li: 0.333 0.667 0.164
Li: 0.667 0.333 0.836
Tb: 0.000 0.000 0.500
Pd: 0.000 0.000 0.000
Pd: 0.333 0.667 0.717
Pd: 0.667 0.333 0.283

Largest 10 diffraction maxima, low angle first, 2θ = 5–70°:
2θ = 15.53°, intensity 9; 2θ = 22.88°, intensity 33; 2θ = 27.77°, intensity 57; 2θ = 39.17°, intensity 100; 2θ = 40.19°, intensity 80; 2θ = 46.74°, intensity 5; 2θ = 49.55°, intensity 11; 2θ = 53.65°, intensity 10; 2θ = 57.37°, intensity 32; 2θ = 65.63°, intensity 10

---

# 2
Starting from a DFT-relaxed cell (PBE, Alexandria), the PXRD pattern of La2Pm2Sm3 was simulated for CuKα.

Crystal structure
Cell: 6.662 10.625 7.106 Å, 90.00 99.17 90.00°
Positions (direct):
La: 0.221 0.200 0.403
La: 0.221 0.300 0.903
La: 0.779 0.700 0.097
La: 0.779 0.800 0.597
Pm: 0.237 0.707 0.898
Pm: 0.237 0.793 0.398
Pm: 0.763 0.207 0.602
Pm: 0.763 0.293 0.102
Sm: 0.000 0.000 0.000
Sm: 0.000 0.500 0.500
Sm: 0.435 0.000 0.760
Sm: 0.435 0.500 0.260
Sm: 0.565 0.000 0.240
Sm: 0.565 0.500 0.740

Largest 10 diffraction maxima, low angle first, 2θ = 5–70°:
2θ = 28.23°, intensity 54; 2θ = 29.33°, intensity 50; 2θ = 30.74°, intensity 78; 2θ = 31.76°, intensity 100; 2θ = 32.01°, intensity 93; 2θ = 32.29°, intensity 42; 2θ = 33.74°, intensity 28; 2θ = 46.29°, intensity 22; 2θ = 51.75°, intensity 34; 2θ = 59.05°, intensity 21

---

# 3
Starting from a DFT-relaxed cell (PBE, Alexandria), the PXRD pattern of Na3Tl3HgAu2 was simulated for CuKα.

Crystal structure
Cell: 8.509 8.509 3.579 Å, 90.00 90.00 120.00°
Positions (direct):
Na: 0.000 0.703 0.000
Na: 0.297 0.297 0.000
Na: 0.703 0.000 0.000
Tl: 0.000 0.379 0.500
Tl: 0.379 0.000 0.500
Tl: 0.621 0.621 0.500
Hg: 0.000 0.000 0.500
Au: 0.333 0.667 0.000
Au: 0.667 0.333 0.000

Largest 10 diffraction maxima, low angle first, 2θ = 5–70°:
2θ = 20.88°, intensity 78; 2θ = 27.71°, intensity 28; 2θ = 32.70°, intensity 100; 2θ = 34.95°, intensity 70; 2θ = 36.58°, intensity 97; 2θ = 41.06°, intensity 45; 2θ = 49.87°, intensity 20; 2θ = 60.57°, intensity 38; 2θ = 64.42°, intensity 38; 2θ = 68.90°, intensity 22

---

# 4
Starting from a DFT-relaxed cell (PBE, Alexandria), the PXRD pattern of TbY2ScTl4 was simulated for CuKα.

Crystal structure
Cell: 9.229 9.229 9.229 Å, 33.42 33.42 33.42°
Positions (direct):
Tb: 0.000 0.000 0.000
Y: 0.249 0.249 0.249
Y: 0.751 0.751 0.751
Sc: 0.500 0.500 0.500
Tl: 0.127 0.127 0.127
Tl: 0.377 0.377 0.377
Tl: 0.623 0.623 0.623
Tl: 0.873 0.873 0.873

Largest 10 diffraction maxima, low angle first, 2θ = 5–70°:
2θ = 19.61°, intensity 2; 2θ = 23.67°, intensity 14; 2θ = 25.82°, intensity 2; 2θ = 33.72°, intensity 100; 2θ = 41.66°, intensity 4; 2θ = 48.44°, intensity 18; 2θ = 54.53°, intensity 3; 2θ = 54.67°, intensity 3; 2θ = 60.16°, intensity 9; 2θ = 60.37°, intensity 28

---

# 5
Starting from a DFT-relaxed cell (PBE, Alexandria), the PXRD pattern of ScTiBe was simulated for CuKα.

Crystal structure
Cell: 3.012 3.012 22.639 Å, 90.00 90.00 90.00°
Positions (direct):
Sc: 0.000 0.000 0.072
Sc: 0.000 0.000 0.928
Sc: 0.500 0.500 0.428
Sc: 0.500 0.500 0.572
Ti: 0.000 0.000 0.210
Ti: 0.000 0.000 0.790
Ti: 0.500 0.500 0.290
Ti: 0.500 0.500 0.710
Be: 0.000 0.000 0.354
Be: 0.000 0.000 0.646
Be: 0.500 0.500 0.146
Be: 0.500 0.500 0.854

Largest 10 diffraction maxima, low angle first, 2θ = 5–70°:
2θ = 7.81°, intensity 42; 2θ = 23.58°, intensity 19; 2θ = 29.92°, intensity 61; 2θ = 31.62°, intensity 18; 2θ = 40.94°, intensity 100; 2θ = 42.44°, intensity 46; 2θ = 49.12°, intensity 9; 2θ = 53.87°, intensity 14; 2θ = 61.56°, intensity 16; 2θ = 69.96°, intensity 8

---

# 6
Starting from a DFT-relaxed cell (PBE, Alexandria), the PXRD pattern of KInTc2 was simulated for CuKα.

Crystal structure
Cell: 8.179 3.034 7.960 Å, 90.00 94.88 90.00°
Positions (direct):
K: 0.000 0.000 0.000
K: 0.500 0.500 0.000
In: 0.236 0.000 0.650
In: 0.736 0.500 0.650
Tc: 0.269 0.500 0.332
Tc: 0.494 0.000 0.431
Tc: 0.769 0.000 0.332
Tc: 0.994 0.500 0.431

Largest 10 diffraction maxima, low angle first, 2θ = 5–70°:
2θ = 11.16°, intensity 100; 2θ = 30.08°, intensity 22; 2θ = 32.83°, intensity 8; 2θ = 33.81°, intensity 45; 2θ = 33.91°, intensity 13; 2θ = 38.41°, intensity 10; 2θ = 39.00°, intensity 10; 2θ = 39.55°, intensity 19; 2θ = 44.47°, intensity 13; 2θ = 45.55°, intensity 25